K2CeCu2S4: theoretical PXRD pattern (copper Kα), based on DFT lattice parameters and positions (PBE).

Peak list (12 most intense, 2θ = 5–70°, most intense first)
2θ (°)	I/Imax
12.47	100
29.62	36
35.02	33
32.69	30
34.54	29
25.08	18
45.40	16
43.70	15
54.55	14
43.02	14
39.77	13
32.86	12

Atomic structure:
a = 7.5034 Å, b = 7.5034 Å, c = 7.5538 Å
α = 109.19°, β = 109.19°, γ = 30.88°
Atoms (fractional coordinates):
1 K 0.1367 0.1367 0.0626
2 K 0.8633 0.8633 0.9374
3 Ce 0.0000 0.0000 0.5000
4 Cu 0.3207 0.3207 0.5142
5 Cu 0.6793 0.6793 0.4858
6 S 0.2008 0.2008 0.6721
7 S 0.4787 0.4787 0.7353
8 S 0.5213 0.5213 0.2647
9 S 0.7992 0.7992 0.3279



LaCeCu12: theoretical PXRD pattern (copper Kα), based on DFT lattice parameters and positions (PBE).

Peak list (12 most intense, 2θ = 5–70°, most intense first)
2θ (°)	I/Imax
38.87	100
46.06	83
39.09	82
37.36	54
41.94	44
35.23	37
42.92	32
45.82	31
39.64	29
46.39	26
31.89	25
65.66	19

Atomic structure:
a = 5.0943 Å, b = 10.0864 Å, c = 8.0786 Å
α = 90.00°, β = 90.00°, γ = 90.00°
Atoms (fractional coordinates):
1 La 0.0000 0.1853 0.0000
2 La 0.0000 0.8147 0.5000
3 Ce 0.5000 0.3149 0.4800
4 Ce 0.5000 0.6851 0.9800
5 Cu 0.0000 0.1083 0.3875
6 Cu 0.0000 0.2656 0.6398
7 Cu 0.0000 0.3480 0.3037
8 Cu 0.0000 0.4955 0.0579
9 Cu 0.0000 0.5045 0.5579
10 Cu 0.0000 0.6520 0.8037
11 Cu 0.0000 0.7344 0.1398
12 Cu 0.0000 0.8917 0.8875
13 Cu 0.2462 0.0593 0.6750
14 Cu 0.2462 0.9407 0.1750
15 Cu 0.2553 0.4414 0.8046
16 Cu 0.2553 0.5586 0.3046
17 Cu 0.5000 0.0055 0.4221
18 Cu 0.5000 0.1525 0.1785
19 Cu 0.5000 0.2348 0.8385
20 Cu 0.5000 0.3927 0.0933
21 Cu 0.5000 0.6073 0.5933
22 Cu 0.5000 0.7652 0.3385
23 Cu 0.5000 0.8475 0.6785
24 Cu 0.5000 0.9945 0.9221
25 Cu 0.7447 0.4414 0.8046
26 Cu 0.7447 0.5586 0.3046
27 Cu 0.7538 0.0593 0.6750
28 Cu 0.7538 0.9407 0.1750



LaCeCu4Si4: theoretical PXRD pattern (copper Kα), based on DFT lattice parameters and positions (PBE).

Peak list (12 most intense, 2θ = 5–70°, most intense first)
2θ (°)	I/Imax
35.86	100
34.93	43
44.06	39
23.44	34
57.42	20
65.17	15
51.35	15
36.41	15
58.44	14
64.07	12
69.93	12
50.50	9

Atomic structure:
a = 4.1105 Å, b = 4.1105 Å, c = 9.8694 Å
α = 90.00°, β = 90.00°, γ = 90.00°
Atoms (fractional coordinates):
1 La 0.0000 0.0000 0.0000
2 Ce 0.5000 0.5000 0.5000
3 Cu 0.0000 0.5000 0.2512
4 Cu 0.0000 0.5000 0.7488
5 Cu 0.5000 0.0000 0.2512
6 Cu 0.5000 0.0000 0.7488
7 Si 0.0000 0.0000 0.3800
8 Si 0.0000 0.0000 0.6200
9 Si 0.5000 0.5000 0.1234
10 Si 0.5000 0.5000 0.8766



CeMg2Cu: theoretical PXRD pattern (copper Kα), based on DFT lattice parameters and positions (PBE).

Peak list (10 most intense, 2θ = 5–70°, most intense first)
2θ (°)	I/Imax
36.32	100
25.46	46
65.34	34
59.05	17
22.00	17
52.30	17
44.88	13
42.87	9
57.41	4
69.86	3

Atomic structure:
a = 4.9473 Å, b = 4.9473 Å, c = 4.9473 Å
α = 60.00°, β = 60.00°, γ = 60.00°
Atoms (fractional coordinates):
1 Ce 0.0000 0.0000 0.0000
2 Mg 0.2500 0.2500 0.2500
3 Mg 0.7500 0.7500 0.7500
4 Cu 0.5000 0.5000 0.5000



CeMg14Cu: theoretical PXRD pattern (copper Kα), based on DFT lattice parameters and positions (PBE).

Peak list (12 most intense, 2θ = 5–70°, most intense first)
2θ (°)	I/Imax
36.74	100
15.83	41
23.77	30
31.98	29
35.67	23
69.07	18
48.65	18
56.99	17
64.78	17
69.75	14
32.94	13
46.57	11

Atomic structure:
a = 6.4632 Å, b = 6.4632 Å, c = 10.0690 Å
α = 90.00°, β = 90.00°, γ = 120.00°
Atoms (fractional coordinates):
1 Ce 0.0000 0.0000 0.0000
2 Mg 0.0134 0.5067 0.0000
3 Mg 0.1638 0.3276 0.2625
4 Mg 0.1638 0.3276 0.7375
5 Mg 0.1638 0.8362 0.2625
6 Mg 0.1638 0.8362 0.7375
7 Mg 0.4933 0.5067 0.0000
8 Mg 0.4933 0.9866 0.0000
9 Mg 0.5014 0.0028 0.5000
10 Mg 0.5014 0.4986 0.5000
11 Mg 0.6667 0.3333 0.2427
12 Mg 0.6667 0.3333 0.7573
13 Mg 0.6724 0.8362 0.2625
14 Mg 0.6724 0.8362 0.7375
15 Mg 0.9972 0.4986 0.5000
16 Cu 0.0000 0.0000 0.5000



CeMgCu: theoretical PXRD pattern (copper Kα), based on DFT lattice parameters and positions (PBE).

Peak list (12 most intense, 2θ = 5–70°, most intense first)
2θ (°)	I/Imax
34.51	100
31.69	82
26.81	33
54.40	32
35.72	29
23.17	27
49.42	23
43.44	21
21.32	20
65.11	18
67.87	18
40.71	18

Atomic structure:
a = 7.6785 Å, b = 7.6785 Å, c = 4.1667 Å
α = 90.00°, β = 90.00°, γ = 120.00°
Atoms (fractional coordinates):
1 Ce 0.0000 0.5792 0.0000
2 Ce 0.4208 0.4208 0.0000
3 Ce 0.5792 0.0000 0.0000
4 Mg 0.0000 0.2383 0.5000
5 Mg 0.2383 0.0000 0.5000
6 Mg 0.7617 0.7617 0.5000
7 Cu 0.0000 0.0000 0.0000
8 Cu 0.3333 0.6667 0.5000
9 Cu 0.6667 0.3333 0.5000



- Which formula does entry 6 have?
  CeMgCu